1.
# PrHoCo2Si2
Computed powder diffraction line list, CuKα. Input: a DFT-relaxed cell (PBE, OQMD).
Lines closer than 0.1° are merged.

Crystal structure
```
PrHoCo2Si2
1.0
3.978 0.000 0.000
0.000 3.978 0.000
0.000 0.000 6.915
Pr Ho Co Si
1 1 2 2
Direct
0.000 0.000 0.000 Pr
0.500 0.500 0.371 Ho
0.000 0.500 0.667 Co
0.500 0.000 0.667 Co
0.000 0.000 0.491 Si
0.500 0.500 0.841 Si
```

Top 10 peaks for 10 to 90 degrees two-theta, low angle first:
Position (°2θ)  intensity
25.83  97
31.81  29
34.39  100
41.38  67
45.60  45
53.15  30
58.19  23
58.33  26
61.58  19
76.87  30

***

2.
# Ho2CoPt
Computed powder diffraction line list, CuKα. Input: a DFT-relaxed cell (PBE, OQMD).
Lines closer than 0.1° are merged.

Crystal structure
```
Ho2CoPt
1.0
4.127 0.000 0.000
0.000 7.166 0.000
0.000 0.000 5.586
Ho Co Pt
4 2 2
Direct
0.000 0.067 0.000 Ho
0.000 0.579 0.241 Ho
0.500 0.421 0.741 Ho
0.500 0.933 0.500 Ho
0.000 0.213 0.509 Co
0.500 0.787 0.009 Co
0.000 0.709 0.736 Pt
0.500 0.291 0.236 Pt
```

Top 10 peaks for 10 to 90 degrees two-theta, low angle first:
Position (°2θ)  intensity
29.66  47
33.11  82
34.46  64
36.92  85
41.00  100
41.10  38
43.88  45
53.75  25
56.96  30
71.78  32

***

3.
# Ho2PuCo2
Computed powder diffraction line list, CuKα. Input: a DFT-relaxed cell (PBE, OQMD).
Lines closer than 0.1° are merged.

Crystal structure
```
Ho2PuCo2
1.0
5.003 -2.898 0.000
5.003 2.898 0.000
-1.359 0.000 7.074
Ho Pu Co
4 2 4
Direct
0.033 0.270 0.149 Ho
0.270 0.033 0.649 Ho
0.730 0.967 0.351 Ho
0.967 0.730 0.851 Ho
0.401 0.599 0.250 Pu
0.599 0.401 0.750 Pu
0.204 0.497 0.490 Co
0.497 0.204 0.990 Co
0.503 0.796 0.010 Co
0.796 0.503 0.510 Co
```

Top 10 peaks for 10 to 90 degrees two-theta, low angle first:
Position (°2θ)  intensity
29.52  46
31.37  59
31.85  45
33.41  100
33.91  61
35.83  30
37.09  56
39.41  50
40.72  42
56.16  37

***

4.
# SrHoCo2Si2
Computed powder diffraction line list, CuKα. Input: a DFT-relaxed cell (PBE, OQMD).
Lines closer than 0.1° are merged.

Crystal structure
```
SrHoCo2Si2
1.0
3.936 0.000 0.000
0.000 3.936 0.000
0.000 0.000 7.377
Sr Ho Co Si
1 1 2 2
Direct
0.000 0.000 0.000 Sr
0.500 0.500 0.368 Ho
0.000 0.500 0.651 Co
0.500 0.000 0.651 Co
0.000 0.000 0.487 Si
0.500 0.500 0.816 Si
```

Top 10 peaks for 10 to 90 degrees two-theta, low angle first:
Position (°2θ)  intensity
12.00  58
25.65  100
32.16  29
33.29  86
34.44  57
40.61  98
46.12  58
54.99  30
58.06  34
60.22  28

***

5.
# SmHoTlCo2
Computed powder diffraction line list, CuKα. Input: a DFT-relaxed cell (PBE, OQMD).
Lines closer than 0.1° are merged.

Crystal structure
```
SmHoTlCo2
1.0
3.911 0.000 0.000
0.000 3.836 0.000
0.000 0.000 14.000
Sm Ho Tl Co
2 2 2 4
Direct
0.000 0.000 0.000 Sm
0.000 0.500 0.500 Sm
0.000 0.000 0.720 Ho
0.000 0.500 0.220 Ho
0.500 0.000 0.358 Tl
0.500 0.500 0.858 Tl
0.500 0.000 0.155 Co
0.500 0.000 0.571 Co
0.500 0.500 0.071 Co
0.500 0.500 0.655 Co
```

Top 10 peaks for 10 to 90 degrees two-theta, low angle first:
Position (°2θ)  intensity
30.16  51
33.34  100
34.39  75
39.86  29
46.42  32
47.40  20
56.38  18
57.02  18
59.86  30
62.82  15

***

6.
# Ho4Zn3Co2
Computed powder diffraction line list, CuKα. Input: a DFT-relaxed cell (PBE, OQMD).
Lines closer than 0.1° are merged.

Crystal structure
```
Ho4Zn3Co2
1.0
6.973 0.000 0.000
0.000 3.623 0.000
-2.151 0.000 7.226
Ho Zn Co
4 3 2
Direct
0.085 0.000 0.224 Ho
0.394 0.000 0.704 Ho
0.606 0.000 0.296 Ho
0.915 0.000 0.776 Ho
0.000 0.500 0.500 Zn
0.303 0.500 0.018 Zn
0.697 0.500 0.982 Zn
0.345 0.500 0.394 Co
0.655 0.500 0.606 Co
```

Top 10 peaks for 10 to 90 degrees two-theta, low angle first:
Position (°2θ)  intensity
24.61  38
25.99  21
32.22  16
32.58  38
35.08  100
36.07  92
39.38  35
41.23  25
50.38  26
65.75  15